Diffraction record for Pr3Nd3Dy8. The XRD peak list is computed, not measured: it uses a GGA-PBE-relaxed structure and copper Kα.
No peak broadening, texture or thermal motion is included.

Largest 10 diffraction maxima, in order of rising 2θ, 2θ from 10° to 90°:
2θ (°)	I (rel.)	index
29.2	299	1 1 4
30.3	328	0 3 3
31.2	522	2 0 0
31.6	1000	1 3 2
33.2	576	1 0 5
44.1	236	2 3 3
55.8	200	3 3 2
56.8	216	3 0 5
60.7	138	2 6 0
61.9	150	1 6 5

Cell and atoms:
```
data_Pr3Nd3Dy8
_cell_length_a 5.726
_cell_length_b 10.818
_cell_length_c 15.325
_cell_angle_alpha 90.00
_cell_angle_beta 90.00
_cell_angle_gamma 90.00
_symmetry_space_group_name_H-M 'I m m m'
_symmetry_Int_Tables_number 71
_symmetry_space_group_name_Hall '-I 2 2'
loop_
_atom_site_label
_atom_site_fract_x
_atom_site_fract_y
_atom_site_fract_z
Pr1 0.000 0.000 0.000
Pr2 0.000 0.500 0.312
Nd1 0.000 0.000 0.500
Nd2 0.000 0.303 0.500
Dy1 0.000 0.162 0.280
Dy2 0.000 0.340 0.102
```

Diffraction record for AcPu2Se3. The XRD peak list is computed, not measured: it uses a GGA-PBE-relaxed structure and copper Kα.
No peak broadening, texture or thermal motion is included.

Largest 10 diffraction maxima, in order of rising 2θ, 2θ from 10° to 90°:
2θ (°)	I (rel.)	index
25.5	671	0 1 3
29.5	512	0 2 0
29.6	1000	1 0 3
42.3	966	2 0 0
42.4	185	0 0 6
50.1	242	1 1 6
52.5	411	2 2 0
69.4	184	1 4 3
69.7	264	3 0 3
77.5	259	3 2 3

Cell and atoms:
```
data_AcPu2Se3
_cell_length_a 4.266
_cell_length_b 6.062
_cell_length_c 12.789
_cell_angle_alpha 90.00
_cell_angle_beta 90.00
_cell_angle_gamma 90.00
_symmetry_space_group_name_H-M 'I m m m'
_symmetry_Int_Tables_number 71
_symmetry_space_group_name_Hall '-I 2 2'
loop_
_atom_site_label
_atom_site_fract_x
_atom_site_fract_y
_atom_site_fract_z
Ac1 0.000 0.000 0.000
Pu1 0.000 0.000 0.336
Se1 0.000 0.500 0.000
Se2 0.000 0.500 0.321
```

Diffraction record for Na3LiPt3O8. The XRD peak list is computed, not measured: it uses a GGA-PBE-relaxed structure and copper Kα.
No peak broadening, texture or thermal motion is included.

Largest 10 diffraction maxima, in order of rising 2θ, 2θ from 10° to 90°:
2θ (°)	I (rel.)	index
16.7	1000	0 0 3
17.3	242	1 0 1
19.8	292	0 1 2
33.7	602	0 0 6
35.1	435	2 0 2
40.3	637	0 2 4
57.4	199	2 0 8
59.2	202	2 2 0
62.0	187	2 2 3
69.9	199	2 2 6

Cell and atoms:
```
data_Na3LiPt3O8
_cell_length_a 6.2395
_cell_length_b 6.2395
_cell_length_c 15.9563
_cell_angle_alpha 90.00
_cell_angle_beta 90.00
_cell_angle_gamma 120.00
_symmetry_space_group_name_H-M 'R -3 m'
_symmetry_Int_Tables_number 166
_symmetry_space_group_name_Hall '-R 3 2"'
loop_
_atom_site_label
_atom_site_fract_x
_atom_site_fract_y
_atom_site_fract_z
Na1 0.0000 0.5000 0.0000
Li1 0.0000 0.0000 0.5000
Pt1 0.0000 0.5000 0.5000
O1 0.0000 0.0000 0.2286
O2 0.0079 0.5040 0.7676
```